1.
Simulated powder XRD pattern of Th7Se12 for Cu Ka, from a structure optimized by DFT (GGA-PBE).

Cell and atoms:
```
Th7Se12
1.0
11.701 0.000 0.000
-5.850 10.133 0.000
0.000 0.000 4.132
Th Se
7 12
direct
0.000 0.000 0.000 Th
0.154 0.434 0.000 Th
0.280 0.846 0.000 Th
0.445 0.288 0.500 Th
0.566 0.720 0.000 Th
0.712 0.157 0.500 Th
0.843 0.555 0.500 Th
0.005 0.216 0.500 Se
0.140 0.616 0.500 Se
0.211 0.995 0.500 Se
0.254 0.248 0.000 Se
0.384 0.523 0.500 Se
0.477 0.860 0.500 Se
0.512 0.138 0.000 Se
0.626 0.488 0.000 Se
0.752 0.006 0.000 Se
0.784 0.789 0.500 Se
0.862 0.374 0.000 Se
0.994 0.746 0.000 Se
```

Principal peaks in the range 2θ = 15–90°, in order of falling intensity:
- 3.829 Å, 23.23 deg, I 100
- 2.809 Å, 31.86 deg, I 78
- 2.211 Å, 40.81 deg, I 53
- 1.510 Å, 61.41 deg, I 53
- 2.615 Å, 34.29 deg, I 45
- 2.324 Å, 38.75 deg, I 38
- 2.387 Å, 37.68 deg, I 31
- 1.819 Å, 50.17 deg, I 27


2.
Simulated powder XRD pattern of YTaSe2 for Cu Ka, from a structure optimized by DFT (GGA-PBE).

Cell and atoms:
```
YTaSe2
1.0
8.765 0.000 0.000
0.000 3.504 0.000
-1.866 0.000 5.944
Y Ta Se
2 2 4
direct
0.000 0.000 0.000 Y
0.500 0.500 0.000 Y
0.261 0.000 0.591 Ta
0.761 0.500 0.591 Ta
0.064 0.500 0.649 Se
0.266 0.500 0.265 Se
0.564 0.000 0.649 Se
0.766 0.000 0.265 Se
```

Principal peaks in the range 2θ = 15–90°, in order of falling intensity:
- 2.710 Å, 33.05 deg, I 100
- 2.223 Å, 40.58 deg, I 87
- 2.326 Å, 38.72 deg, I 87
- 2.988 Å, 29.91 deg, I 57
- 3.021 Å, 29.57 deg, I 53
- 4.036 Å, 22.02 deg, I 43
- 2.972 Å, 30.07 deg, I 39
- 2.091 Å, 43.27 deg, I 36


3.
Simulated powder XRD pattern of Sm5Ir4 for Cu Ka, from a structure optimized by DFT (GGA-PBE).

Cell and atoms:
```
Sm5Ir4
1.0
5.389 -2.153 0.000
5.389 2.153 0.000
-3.753 0.000 9.285
Sm Ir
5 4
direct
0.000 0.000 0.000 Sm
0.109 0.109 0.397 Sm
0.242 0.242 0.820 Sm
0.758 0.758 0.180 Sm
0.891 0.891 0.603 Sm
0.383 0.383 0.384 Ir
0.452 0.452 0.154 Ir
0.548 0.548 0.846 Ir
0.617 0.617 0.616 Ir
```

Principal peaks in the range 2θ = 15–90°, in order of falling intensity:
- 2.812 Å, 31.82 deg, I 100
- 2.634 Å, 34.03 deg, I 90
- 2.153 Å, 41.97 deg, I 89
- 2.758 Å, 32.46 deg, I 87
- 2.385 Å, 37.71 deg, I 83
- 2.358 Å, 38.17 deg, I 72
- 2.213 Å, 40.77 deg, I 40
- 1.446 Å, 64.42 deg, I 30


4.
Simulated powder XRD pattern of AcPI2O4 for Cu Ka, from a structure optimized by DFT (GGA-PBE).

Cell and atoms:
```
AcPI2O4
1.0
0.000 8.058 9.841
3.022 0.000 9.841
3.022 8.058 0.000
Ac P I O
2 2 4 8
direct
0.125 0.125 0.125 Ac
0.875 0.875 0.875 Ac
0.375 0.375 0.375 P
0.625 0.625 0.625 P
0.107 0.643 0.107 I
0.357 0.893 0.357 I
0.643 0.107 0.643 I
0.893 0.357 0.893 I
0.120 0.540 0.522 O
0.318 0.522 0.540 O
0.460 0.880 0.682 O
0.478 0.682 0.880 O
0.522 0.318 0.120 O
0.540 0.120 0.318 O
0.682 0.478 0.460 O
0.880 0.460 0.478 O
```

Principal peaks in the range 2θ = 15–90°, in order of falling intensity:
- 4.920 Å, 18.03 deg, I 100
- 3.117 Å, 28.64 deg, I 53
- 4.029 Å, 22.06 deg, I 53
- 2.348 Å, 38.34 deg, I 46
- 2.889 Å, 30.95 deg, I 43
- 1.946 Å, 46.67 deg, I 27
- 5.439 Å, 16.30 deg, I 24
- 2.223 Å, 40.59 deg, I 23


5.
Simulated powder XRD pattern of TiZn2Cu5 for Cu Ka, from a structure optimized by DFT (GGA-PBE).

Cell and atoms:
```
TiZn2Cu5
1.0
4.258 0.000 0.000
0.000 4.258 0.000
0.000 0.000 11.546
Ti Zn Cu
2 4 10
direct
0.000 0.000 0.000 Ti
0.500 0.500 0.500 Ti
0.000 0.000 0.253 Zn
0.000 0.000 0.747 Zn
0.500 0.500 0.247 Zn
0.500 0.500 0.753 Zn
0.000 0.000 0.500 Cu
0.000 0.500 0.126 Cu
0.000 0.500 0.374 Cu
0.000 0.500 0.626 Cu
0.000 0.500 0.874 Cu
0.500 0.000 0.126 Cu
0.500 0.000 0.374 Cu
0.500 0.000 0.626 Cu
0.500 0.000 0.874 Cu
0.500 0.500 0.000 Cu
```

Principal peaks in the range 2θ = 15–90°, in order of falling intensity:
- 2.084 Å, 43.43 deg, I 100
- 2.129 Å, 42.46 deg, I 54
- 1.220 Å, 78.37 deg, I 31
- 1.505 Å, 61.61 deg, I 16
- 1.195 Å, 80.38 deg, I 14
- 1.443 Å, 64.57 deg, I 7
- 3.995 Å, 22.25 deg, I 1
- 5.773 Å, 15.35 deg, I 1


6.
Simulated powder XRD pattern of YMgMoS4 for Cu Ka, from a structure optimized by DFT (GGA-PBE).

Cell and atoms:
```
YMgMoS4
1.0
-3.830 3.861 5.346
3.830 -3.861 5.346
3.830 3.861 -5.346
Y Mg Mo S
2 2 2 8
direct
0.000 0.000 0.000 Y
0.500 0.000 0.500 Y
0.373 0.623 0.750 Mg
0.627 0.377 0.250 Mg
0.000 0.000 0.500 Mo
0.000 0.500 0.000 Mo
0.215 0.744 0.470 S
0.226 0.256 0.970 S
0.236 0.232 0.496 S
0.236 0.740 0.004 S
0.764 0.260 0.996 S
0.764 0.768 0.504 S
0.774 0.744 0.030 S
0.785 0.256 0.530 S
```

Principal peaks in the range 2θ = 15–90°, in order of falling intensity:
- 2.719 Å, 32.94 deg, I 100
- 1.906 Å, 47.71 deg, I 89
- 3.233 Å, 27.59 deg, I 50
- 2.673 Å, 33.53 deg, I 48
- 3.267 Å, 27.30 deg, I 46
- 3.281 Å, 27.18 deg, I 44
- 2.095 Å, 43.18 deg, I 26
- 1.915 Å, 47.47 deg, I 24


7.
Simulated powder XRD pattern of SrCaZn10 for Cu Ka, from a structure optimized by DFT (GGA-PBE).

Cell and atoms:
```
SrCaZn10
1.0
4.283 0.000 0.000
0.000 5.470 0.000
0.000 0.000 9.426
Sr Ca Zn
1 1 10
direct
0.000 0.000 0.000 Sr
0.000 0.500 0.500 Ca
0.000 0.000 0.340 Zn
0.000 0.000 0.660 Zn
0.000 0.500 0.173 Zn
0.000 0.500 0.827 Zn
0.500 0.000 0.500 Zn
0.500 0.252 0.254 Zn
0.500 0.252 0.746 Zn
0.500 0.500 0.000 Zn
0.500 0.748 0.254 Zn
0.500 0.748 0.746 Zn
```

Principal peaks in the range 2θ = 15–90°, in order of falling intensity:
- 2.299 Å, 39.19 deg, I 100
- 2.305 Å, 39.07 deg, I 51
- 2.142 Å, 42.20 deg, I 46
- 2.071 Å, 43.71 deg, I 46
- 4.725 Å, 18.78 deg, I 37
- 2.366 Å, 38.04 deg, I 30
- 1.480 Å, 62.79 deg, I 23
- 2.065 Å, 43.85 deg, I 23


8.
Simulated powder XRD pattern of Cd2Pt2O7 for Cu Ka, from a structure optimized by DFT (GGA-PBE).

Cell and atoms:
```
Cd2Pt2O7
1.0
0.000 5.135 5.135
5.135 0.000 5.135
5.135 5.135 0.000
Cd Pt O
4 4 14
direct
0.000 0.000 0.000 Cd
0.000 0.000 0.500 Cd
0.000 0.500 0.000 Cd
0.500 0.000 0.000 Cd
0.000 0.500 0.500 Pt
0.500 0.000 0.500 Pt
0.500 0.500 0.000 Pt
0.500 0.500 0.500 Pt
0.125 0.125 0.125 O
0.169 0.169 0.581 O
0.169 0.581 0.169 O
0.169 0.581 0.581 O
0.419 0.419 0.831 O
0.419 0.831 0.419 O
0.419 0.831 0.831 O
0.581 0.169 0.169 O
0.581 0.169 0.581 O
0.581 0.581 0.169 O
0.831 0.419 0.419 O
0.831 0.419 0.831 O
0.831 0.831 0.419 O
0.875 0.875 0.875 O
```

Principal peaks in the range 2θ = 15–90°, in order of falling intensity:
- 2.965 Å, 30.14 deg, I 100
- 1.816 Å, 50.25 deg, I 45
- 1.548 Å, 59.72 deg, I 43
- 2.568 Å, 34.94 deg, I 36
- 1.178 Å, 81.74 deg, I 18
- 1.148 Å, 84.34 deg, I 15
- 1.482 Å, 62.67 deg, I 10
- 3.097 Å, 28.83 deg, I 8